For TbErSc4, a DFT-relaxed cell (GGA-PBE, Alexandria) gives the theoretical X-ray powder pattern in this record (Cu Ka).
Intensities are scaled so that the largest is 100.

Main lines, sorted by position (2θ from 10° to 90°):
Position (°2θ)  intensity
10.14  71
13.03  37
28.17  31
31.74  49
31.87  23
33.06  51
34.92  100
35.02  45
39.73  35
65.33  26

Structure:
```
data_TbErSc4
_chemical_formula_sum 'Tb4 Er4 Sc16'
_cell_length_a 3.3741
_cell_length_b 17.4449
_cell_length_c 10.8398
_cell_angle_alpha 90.00
_cell_angle_beta 90.00
_cell_angle_gamma 90.00
_space_group_name_H-M_alt 'C m c 21'
_space_group_IT_number 36
loop_
_space_group_symop_operation_xyz
'x,y,z'
'-x,-y,z+1/2'
'-x,y,z'
'x,-y,z+1/2'
'x+1/2,y+1/2,z'
'-x+1/2,-y+1/2,z+1/2'
'-x+1/2,y+1/2,z'
'x+1/2,-y+1/2,z+1/2'
loop_
_atom_site_label
_atom_site_type_symbol
_atom_site_fract_x
_atom_site_fract_y
_atom_site_fract_z
Tb1 Tb 0.0000 0.1631 0.0000
Er1 Er 0.0000 0.2798 0.7564
Sc1 Sc 0.0000 0.0519 0.2571
Sc2 Sc 0.0000 0.1631 0.5092
Sc3 Sc 0.0000 0.3927 0.2507
Sc4 Sc 0.0000 0.4966 0.0056
```